Calculated X-ray diffraction stick pattern of BaCoCuF6 for Cu Kα, 1.54184 Å, from a structure optimized by DFT (PBE+U).

Most intense lines, 10° ≤ 2θ ≤ 90°, in order of rising 2θ:
hkl 1 1 -1, 23.8°, d 3.737, rel. 100
hkl 1 1 1, 24.9°, d 3.581, rel. 84
hkl 0 2 1, 25.1°, d 3.543, rel. 86
hkl 2 0 0, 31.5°, d 2.836, rel. 26
hkl 1 3 0, 33.4°, d 2.682, rel. 43
hkl 2 2 -1, 40.1°, d 2.249, rel. 25
hkl 2 2 1, 41.4°, d 2.180, rel. 19
hkl 2 0 -2, 44.2°, d 2.048, rel. 28
hkl 1 3 -2, 46.2°, d 1.963, rel. 26
hkl 1 3 2, 47.4°, d 1.917, rel. 45
hkl 0 2 3, 52.8°, d 1.732, rel. 19
hkl 3 3 0, 57.4°, d 1.606, rel. 24

Crystal structure
```
data_BaCoCuF6
_chemical_formula_sum 'Ba2 Co2 Cu2 F12'
_space_group_name_H-M_alt 'C 1 2 1'
_space_group_IT_number 5
_space_group_name_Hall 'C 2y'
_cell_length_a 5.679
_cell_length_b 9.131
_cell_length_c 5.623
_cell_angle_alpha 90.00
_cell_angle_beta 92.91
_cell_angle_gamma 90.00
loop_
_atom_site_label
_atom_site_fract_x
_atom_site_fract_y
_atom_site_fract_z
Ba1 0.000 0.000 0.000
Co1 0.000 0.339 0.500
Cu1 0.000 0.679 0.500
F1 0.133 0.520 0.694
F2 0.169 0.207 0.737
F3 0.184 0.826 0.679
```